Structure and simulated X-ray powder pattern of Cs2Tm2MgW4O16 (a structure optimized by DFT (GGA+U); Cu Kα (λ = 1.5418 Å)).

Most intense lines, 10° ≤ 2θ ≤ 80°, in order of rising 2θ:
(0 1 1), 16.29 deg, intensity 31; (0 0 2), 25.92 deg, intensity 62; (0 1 2), 26.35 deg, intensity 40; (0 2 0), 26.77 deg, intensity 100; (2 0 0), 28.10 deg, intensity 65; (2 2 2), 29.09 deg, intensity 66; (2 0 2), 30.78 deg, intensity 60; (2 2 0), 31.85 deg, intensity 77; (0 2 2), 32.93 deg, intensity 20; (2 1 -2), 46.32 deg, intensity 30; (4 2 2), 47.72 deg, intensity 28; (2 4 1), 48.42 deg, intensity 20

Crystal structure
a b c (Å): 7.632 7.676 7.998
angles (deg): 66.90 61.95 62.96
Element x y z (fractional)
Cs (0.000, 0.000, 0.000)
Cs (0.207, 0.333, 0.297)
Tm (0.521, 0.967, 0.983)
Tm (0.588, 0.444, 0.399)
Mg (0.931, 0.568, 0.563)
W (0.045, 0.919, 0.510)
W (0.065, 0.509, 0.886)
W (0.552, 0.519, 0.893)
W (0.553, 0.906, 0.497)
O (0.191, 0.593, 0.573)
O (0.223, 0.950, 0.251)
O (0.239, 0.947, 0.578)
O (0.246, 0.593, 0.916)
O (0.256, 0.252, 0.888)
O (0.492, 0.571, 0.134)
O (0.510, 0.830, 0.787)
O (0.511, 0.182, 0.463)
O (0.583, 0.249, 0.937)
O (0.600, 0.879, 0.255)
O (0.649, 0.574, 0.580)
O (0.853, 0.172, 0.511)
O (0.868, 0.846, 0.439)
O (0.870, 0.442, 0.831)
O (0.883, 0.483, 0.141)
O (0.885, 0.813, 0.806)